Computed X-ray diffraction stick pattern of NdO2 for Cu Kα, 1.54184 Å, from the GGA-PBE geometry in the Materials Project.

Crystal structure
```
data_NdO2
_chemical_formula_sum 'Nd2 O4'
_cell_length_a 4.1938
_cell_length_b 4.1938
_cell_length_c 5.1831
_cell_angle_alpha 90.00
_cell_angle_beta 90.00
_cell_angle_gamma 90.00
_space_group_name_H-M_alt 'I 4/m m m'
_space_group_IT_number 139
_space_group_name_Hall '-I 4 2'
loop_
_atom_site_label
_atom_site_type_symbol
_atom_site_fract_x
_atom_site_fract_y
_atom_site_fract_z
Nd1 Nd 0.0000 0.0000 0.0000
O1 O 0.0000 0.5000 0.2500
```

Principal peaks in the range 10° ≤ 2θ ≤ 90°, most intense first:
| d_spacing | two_theta | I_rel | index |
| --- | --- | --- | --- |
| 3.260 | 27.36 | 100 | 1 0 1 |
| 1.951 | 46.54 | 34 | 1 1 2 |
| 1.764 | 51.84 | 34 | 2 1 1 |
| 2.965 | 30.14 | 22 | 1 1 0 |
| 2.097 | 43.14 | 22 | 2 0 0 |
| 1.597 | 57.71 | 12 | 1 0 3 |
| 1.181 | 81.54 | 12 | 3 1 2 |
| 1.271 | 74.70 | 12 | 2 1 3 |



Computed X-ray diffraction stick pattern of H9PtN2ClO2 for Cu Kα, 1.54184 Å, from the GGA-PBE geometry in the Materials Project.

Crystal structure
```
data_H9PtN2ClO2
_chemical_formula_sum 'H36 Pt4 N8 Cl4 O8'
_cell_length_a 8.0279
_cell_length_b 4.3930
_cell_length_c 19.3007
_cell_angle_alpha 90.00
_cell_angle_beta 112.41
_cell_angle_gamma 90.00
_space_group_name_H-M_alt 'P 1 21/c 1'
_space_group_IT_number 14
loop_
_space_group_symop_operation_xyz
'x,y,z'
'-x,-y,-z'
'-x,y+1/2,-z+1/2'
'x,-y+1/2,z+1/2'
loop_
_atom_site_label
_atom_site_type_symbol
_atom_site_fract_x
_atom_site_fract_y
_atom_site_fract_z
H1 H 0.0140 0.1614 0.2441
H2 H 0.0983 0.7029 0.0722
H3 H 0.1700 0.6431 0.1638
H4 H 0.2179 0.2257 0.2566
H5 H 0.2485 0.5605 0.6309
H6 H 0.2906 0.6799 0.9061
H7 H 0.2988 0.5993 0.3370
H8 H 0.4177 0.5112 0.4246
H9 H 0.4806 0.2327 0.2596
Pt1 Pt 0.4167 0.0470 0.6158
N1 N 0.2094 0.7150 0.1217
N2 N 0.3739 0.6921 0.3883
Cl1 Cl 0.2370 0.1950 0.4947
O1 O 0.0976 0.1709 0.7441
O2 O 0.4199 0.0701 0.2770
```

Principal peaks in the range 10° ≤ 2θ ≤ 90°, most intense first:
| d_spacing | two_theta | I_rel | index |
| --- | --- | --- | --- |
| 7.422 | 11.92 | 100 | 1 0 0 |
| 4.694 | 18.90 | 45 | 1 0 -4 |
| 4.266 | 20.82 | 44 | 0 1 1 |
| 3.561 | 25.01 | 40 | 1 1 1 |
| 3.514 | 25.34 | 39 | 1 1 -3 |
| 2.909 | 30.73 | 37 | 2 1 -3 |
| 4.011 | 22.16 | 26 | 2 0 -2 |
| 4.461 | 19.90 | 23 | 0 0 4 |



Computed X-ray diffraction stick pattern of Sm3BeCrS7 for Cu Kα, 1.54184 Å, from the GGA-PBE geometry in the Materials Project.

Crystal structure
```
data_Sm3BeCrS7
_chemical_formula_sum 'Sm6 Be2 Cr2 S14'
_cell_length_a 9.7956
_cell_length_b 9.7956
_cell_length_c 5.9969
_cell_angle_alpha 90.00
_cell_angle_beta 90.00
_cell_angle_gamma 120.00
_space_group_name_H-M_alt 'P 63'
_space_group_IT_number 173
loop_
_space_group_symop_operation_xyz
'x,y,z'
'x-y,x,z+1/2'
'-y,x-y,z'
'-x,-y,z+1/2'
'-x+y,-x,z'
'y,-x+y,z+1/2'
loop_
_atom_site_label
_atom_site_type_symbol
_atom_site_fract_x
_atom_site_fract_y
_atom_site_fract_z
Sm1 Sm 0.1425 0.7518 0.0000
Be1 Be 0.3333 0.6667 0.5827
Cr1 Cr 0.0000 0.0000 0.2223
S1 S 0.0811 0.8581 0.4643
S2 S 0.1067 0.5196 0.7174
S3 S 0.3333 0.6667 0.2340
```

Principal peaks in the range 10° ≤ 2θ ≤ 90°, most intense first:
| d_spacing | two_theta | I_rel | index |
| --- | --- | --- | --- |
| 2.190 | 41.22 | 100 | 2 1 2 |
| 3.463 | 25.73 | 78 | 2 0 1 |
| 2.558 | 35.09 | 78 | 3 0 1 |
| 4.897 | 18.12 | 68 | 1 0 1 |
| 3.206 | 27.82 | 64 | 2 1 0 |
| 1.851 | 49.22 | 62 | 1 4 0 |
| 2.449 | 36.70 | 47 | 2 0 2 |
| 3.793 | 23.45 | 42 | 1 1 1 |



Computed X-ray diffraction stick pattern of RbMg14Ga for Cu Kα, 1.54184 Å, from the GGA-PBE geometry in the Materials Project.

Crystal structure
```
data_RbMg14Ga
_chemical_formula_sum 'Rb2 Mg28 Ga2'
_cell_length_a 10.6210
_cell_length_b 6.5796
_cell_length_c 11.2672
_cell_angle_alpha 90.00
_cell_angle_beta 90.00
_cell_angle_gamma 90.00
_space_group_name_H-M_alt 'A m m 2'
_space_group_IT_number 38
loop_
_space_group_symop_operation_xyz
'x,y,z'
'-x,-y,z'
'-x,y,z'
'x,-y,z'
'x,y+1/2,z+1/2'
'-x,-y+1/2,z+1/2'
'-x,y+1/2,z+1/2'
'x,-y+1/2,z+1/2'
loop_
_atom_site_label
_atom_site_type_symbol
_atom_site_fract_x
_atom_site_fract_y
_atom_site_fract_z
Rb1 Rb 0.0000 0.0000 0.0000
Mg1 Mg 0.0000 0.2427 0.2518
Mg2 Mg 0.2403 0.0000 0.6613
Mg3 Mg 0.2624 0.2392 0.4121
Mg4 Mg 0.2675 0.0000 0.1699
Mg5 Mg 0.5000 0.0000 0.4975
Mg6 Mg 0.5000 0.0000 0.9954
Mg7 Mg 0.5000 0.2467 0.7460
Ga1 Ga 0.0000 0.0000 0.4792
```

Principal peaks in the range 10° ≤ 2θ ≤ 90°, most intense first:
| d_spacing | two_theta | I_rel | index |
| --- | --- | --- | --- |
| 2.505 | 35.85 | 100 | 2 2 2 |
| 2.488 | 36.09 | 45 | 2 0 4 |
| 2.655 | 33.76 | 37 | 4 0 0 |
| 2.841 | 31.49 | 25 | 0 2 2 |
| 1.502 | 61.75 | 18 | 6 2 2 |
| 1.390 | 67.39 | 17 | 4 2 6 |
| 1.940 | 46.83 | 16 | 4 2 2 |
| 1.631 | 56.42 | 16 | 0 2 6 |



Computed X-ray diffraction stick pattern of V2AgN3 for Cu Kα, 1.54184 Å, from the GGA-PBE geometry in the Materials Project.

Crystal structure
```
data_V2AgN3
_chemical_formula_sum 'V6 Ag3 N9'
_cell_length_a 2.9493
_cell_length_b 2.9493
_cell_length_c 26.2022
_cell_angle_alpha 90.00
_cell_angle_beta 90.00
_cell_angle_gamma 120.00
_space_group_name_H-M_alt 'P 31 2 1'
_space_group_IT_number 152
loop_
_space_group_symop_operation_xyz
'x,y,z'
'-y,x-y,z+1/3'
'-x+y,-x,z+2/3'
'y,x,-z'
'x-y,-y,-z+2/3'
'-x,-x+y,-z+1/3'
loop_
_atom_site_label
_atom_site_type_symbol
_atom_site_fract_x
_atom_site_fract_y
_atom_site_fract_z
V1 V 0.0550 0.2898 0.4529
Ag1 Ag 0.0000 0.3622 0.6667
N1 N 0.0000 0.3270 0.1667
N2 N 0.0106 0.3658 0.7484
```

Principal peaks in the range 10° ≤ 2θ ≤ 90°, most intense first:
| d_spacing | two_theta | I_rel | index |
| --- | --- | --- | --- |
| 2.380 | 37.81 | 100 | 1 0 4 |
| 2.542 | 35.31 | 88 | 1 0 1 |
| 2.296 | 39.24 | 80 | 0 1 5 |
| 2.911 | 30.71 | 72 | 0 0 9 |
| 1.829 | 49.86 | 57 | 1 0 10 |
| 1.510 | 61.41 | 40 | 0 1 14 |
| 4.367 | 20.34 | 34 | 0 0 6 |
| 1.475 | 63.04 | 33 | 1 1 0 |



Computed X-ray diffraction stick pattern of NbBiO4 for Cu Kα, 1.54184 Å, from the GGA-PBE geometry in the Materials Project.

Crystal structure
```
data_NbBiO4
_chemical_formula_sum 'Nb2 Bi2 O8'
_cell_length_a 5.9896
_cell_length_b 5.8820
_cell_length_c 6.0553
_cell_angle_alpha 90.00
_cell_angle_beta 112.94
_cell_angle_gamma 90.00
_space_group_name_H-M_alt 'C 1 2 1'
_space_group_IT_number 5
loop_
_space_group_symop_operation_xyz
'x,y,z'
'-x,y,-z'
'x+1/2,y+1/2,z'
'-x+1/2,y+1/2,-z'
loop_
_atom_site_label
_atom_site_type_symbol
_atom_site_fract_x
_atom_site_fract_y
_atom_site_fract_z
Nb1 Nb 0.0000 0.0000 0.0000
Bi1 Bi 0.0000 0.6549 0.5000
O1 O 0.1496 0.9319 0.3482
O2 O 0.2418 0.7019 0.9506
```

Principal peaks in the range 10° ≤ 2θ ≤ 90°, most intense first:
| d_spacing | two_theta | I_rel | index |
| --- | --- | --- | --- |
| 3.818 | 23.30 | 100 | 1 1 -1 |
| 4.023 | 22.09 | 45 | 1 1 0 |
| 2.895 | 30.88 | 37 | 1 1 1 |
| 2.788 | 32.10 | 28 | 0 0 2 |
| 2.092 | 43.25 | 25 | 2 2 -1 |
| 1.907 | 47.68 | 24 | 1 1 -3 |
| 2.601 | 34.48 | 20 | 0 2 1 |
| 2.758 | 32.46 | 18 | 2 0 0 |



Computed X-ray diffraction stick pattern of Ti2AlC for Cu Kα, 1.54184 Å, from the GGA-PBE geometry in the Materials Project.

Crystal structure
```
data_Ti2AlC
_chemical_formula_sum 'Ti4 Al2 C2'
_cell_length_a 3.0691
_cell_length_b 3.0691
_cell_length_c 13.7364
_cell_angle_alpha 90.00
_cell_angle_beta 90.00
_cell_angle_gamma 120.00
_space_group_name_H-M_alt 'P 63/m m c'
_space_group_IT_number 194
_space_group_name_Hall '-P 6c 2c'
loop_
_atom_site_label
_atom_site_type_symbol
_atom_site_fract_x
_atom_site_fract_y
_atom_site_fract_z
Ti1 Ti 0.3333 0.6667 0.0835
Al1 Al 0.3333 0.6667 0.7500
C1 C 0.0000 0.0000 0.0000
```

Principal peaks in the range 10° ≤ 2θ ≤ 90°, most intense first:
| d_spacing | two_theta | I_rel | index |
| --- | --- | --- | --- |
| 2.299 | 39.19 | 100 | 1 0 3 |
| 6.868 | 12.89 | 28 | 0 0 2 |
| 1.535 | 60.31 | 19 | 1 1 0 |
| 2.289 | 39.36 | 18 | 0 0 6 |
| 2.658 | 33.72 | 18 | 1 0 0 |
| 1.735 | 52.77 | 17 | 1 0 6 |
| 1.324 | 71.25 | 15 | 1 0 9 |
| 1.275 | 74.43 | 15 | 1 1 6 |



Computed X-ray diffraction stick pattern of SnGe2O6 for Cu Kα, 1.54184 Å, from the GGA-PBE geometry in the Materials Project.

Crystal structure
```
data_SnGe2O6
_chemical_formula_sum 'Sn4 Ge8 O24'
_cell_length_a 10.1969
_cell_length_b 9.1754
_cell_length_c 5.6551
_cell_angle_alpha 90.00
_cell_angle_beta 107.75
_cell_angle_gamma 90.00
_space_group_name_H-M_alt 'C 1 2/c 1'
_space_group_IT_number 15
loop_
_space_group_symop_operation_xyz
'x,y,z'
'-x,-y,-z'
'-x,y,-z+1/2'
'x,-y,z+1/2'
'x+1/2,y+1/2,z'
'-x+1/2,-y+1/2,-z'
'-x+1/2,y+1/2,-z+1/2'
'x+1/2,-y+1/2,z+1/2'
loop_
_atom_site_label
_atom_site_type_symbol
_atom_site_fract_x
_atom_site_fract_y
_atom_site_fract_z
Sn1 Sn 0.0000 0.1046 0.2500
Ge1 Ge 0.2021 0.4136 0.2637
O1 O 0.1109 0.0693 0.6295
O2 O 0.1387 0.4742 0.5024
O3 O 0.1478 0.2340 0.1963
```

Principal peaks in the range 10° ≤ 2θ ≤ 90°, most intense first:
| d_spacing | two_theta | I_rel | index |
| --- | --- | --- | --- |
| 3.145 | 28.38 | 100 | 2 2 -1 |
| 3.053 | 29.26 | 83 | 3 1 0 |
| 4.699 | 18.89 | 76 | 1 1 -1 |
| 2.602 | 34.47 | 62 | 2 2 1 |
| 2.693 | 33.27 | 48 | 0 0 2 |
| 6.669 | 13.28 | 46 | 1 1 0 |
| 4.588 | 19.35 | 40 | 0 2 0 |
| 2.670 | 33.57 | 37 | 1 3 -1 |